Entry 1:
This entry pairs a crystal structure of EuMg2Sb2 with its theoretical powder XRD pattern. Radiation: CuKα. Structure: a structure optimized by DFT (GGA-PBE).
Neutral-atom scattering factors, no anomalous dispersion.

The 10 most intense peaks (2θ from 5° to 70°), in order of rising 2θ:
2theta	Rel. int.
11.44	20
24.54	100
31.78	67
37.94	53
41.34	31
45.71	19
50.30	18
60.86	16
61.91	15
64.70	17

Cell and atoms:
Cell lengths 4.7426, 4.7426, 7.7369 Å; angles 90.00, 90.00, 120.00 degrees
Space group P-3m1 (No. 164)
One atom of each set of equivalent atoms:
Eu1 0.0000 0.0000 0.0000
Mg1 0.3333 0.6667 0.6306
Sb1 0.3333 0.6667 0.2508

Entry 2:
This entry pairs a crystal structure of Eu3Mg5Si5 with its theoretical powder XRD pattern. Radiation: CuKα. Structure: a structure optimized by DFT (GGA-PBE).
Neutral-atom scattering factors, no anomalous dispersion.

The 10 most intense peaks (2θ from 5° to 70°), in order of rising 2θ:
2theta	Rel. int.
11.57	37
20.43	35
21.37	49
30.75	33
31.20	100
31.77	55
32.14	53
32.38	61
32.53	50
40.28	55

Cell and atoms:
Cell lengths 14.225, 4.478, 18.136 Å; angles 90.00, 90.00, 90.00 degrees
Space group Pnma (No. 62)
One atom of each set of equivalent atoms:
Eu1 0.088 0.250 0.153
Eu2 0.137 0.750 0.692
Eu3 0.208 0.750 0.484
Mg1 0.022 0.250 0.439
Mg2 0.035 0.750 0.311
Mg3 0.053 0.250 0.957
Mg4 0.165 0.750 0.871
Mg5 0.233 0.750 0.271
Si1 0.081 0.250 0.810
Si2 0.092 0.250 0.575
Si3 0.134 0.750 0.018
Si4 0.148 0.250 0.326
Si5 0.246 0.750 0.116

Entry 3:
This entry pairs a crystal structure of Eu2MgSn with its theoretical powder XRD pattern. Radiation: CuKα. Structure: a structure optimized by DFT (GGA-PBE).
Neutral-atom scattering factors, no anomalous dispersion.

The 10 most intense peaks (2θ from 5° to 70°), in order of rising 2θ:
2theta	Rel. int.
19.43	10
22.47	14
31.98	100
37.69	6
39.44	5
45.86	18
50.25	3
51.65	6
57.00	39
66.87	12

Cell and atoms:
Cell lengths 7.915, 7.915, 7.915 Å; angles 90.00, 90.00, 90.00 degrees
Space group Fm-3m (No. 225)
One atom of each set of equivalent atoms:
Eu1 0.250 0.250 0.250
Mg1 0.000 0.000 0.000
Sn1 0.000 0.000 0.500

Entry 4:
This entry pairs a crystal structure of Eu2MgTl with its theoretical powder XRD pattern. Radiation: CuKα. Structure: a structure optimized by DFT (GGA-PBE).
Neutral-atom scattering factors, no anomalous dispersion.

The 10 most intense peaks (2θ from 5° to 70°), in order of rising 2θ:
2theta	Rel. int.
19.25	24
22.26	3
31.68	100
37.34	14
45.42	19
49.76	6
56.44	39
60.20	5
66.18	12
69.64	5

Cell and atoms:
Cell lengths 7.988, 7.988, 7.988 Å; angles 90.00, 90.00, 90.00 degrees
Space group Fm-3m (No. 225)
One atom of each set of equivalent atoms:
Eu1 0.250 0.250 0.250
Mg1 0.000 0.000 0.000
Tl1 0.000 0.000 0.500